Diffraction record for VInBF6. The X-ray powder pattern is calculated, not measured: it uses DFT lattice parameters and positions (PBE+U) and Cu Kα X-rays.
No peak broadening, texture or thermal motion is included.

Principal peaks in the range 2θ = 15–90°, by angle:
two_theta  Rel. int.  h k l
18.23  33  0 1 0
19.38  28  1 0 0
23.01  100  0 1 -1
24.28  73  1 1 1
24.63  50  1 0 -1
25.52  39  1 1 -1
28.12  28  0 0 2
31.82  33  1 -1 0
33.97  29  1 2 0
35.93  23  2 1 0

Crystal structure
a = 5.024 Å, b = 5.328 Å, c = 6.358 Å
α = 88.71°, β = 86.40°, γ = 65.96°
Fractional coordinates of all 9 atoms:
1 V 0.000 0.000 0.000
2 In 0.698 0.709 0.591
3 B 0.421 0.365 0.115
4 F 0.204 0.262 0.121
5 F 0.222 0.942 0.717
6 F 0.299 0.646 0.174
7 F 0.567 0.332 0.910
8 F 0.641 0.210 0.255
9 F 0.794 0.760 0.930